[1]
Calculated PXRD pattern
Compound: Tb3ErRu
Radiation: Cu Ka
Structure: a structure optimized by DFT (PBE)

Largest 10 diffraction maxima, by angle, 10° ≤ 2θ ≤ 90°:
- 2.899 Å, I = 79
- 2.860 Å, I = 23
- 2.752 Å, I = 100
- 2.733 Å, I = 30
- 2.649 Å, I = 36
- 2.639 Å, I = 63
- 2.587 Å, I = 25
- 1.922 Å, I = 32
- 1.575 Å, I = 23
- 1.556 Å, I = 35

Cell and atoms:
```
Tb3ErRu
1.0
5.960 -1.922 0.000
5.960 1.922 0.000
-5.391 0.000 12.110
Tb Er Ru
6 2 2
direct
0.000 0.000 0.000
0.018 0.018 0.374
0.335 0.335 0.762
0.359 0.359 0.132
0.689 0.689 0.238
0.795 0.795 0.518
0.554 0.554 0.619
0.668 0.668 0.895
0.357 0.357 0.392
0.999 0.999 0.751
```

[2]
Calculated PXRD pattern
Compound: Tb2ErRu2
Radiation: Cu Ka
Structure: a structure optimized by DFT (PBE)

Largest 10 diffraction maxima, by angle, 10° ≤ 2θ ≤ 90°:
- 3.409 Å, I = 19
- 3.375 Å, I = 19
- 2.612 Å, I = 61
- 2.398 Å, I = 94
- 2.377 Å, I = 100
- 2.214 Å, I = 43
- 1.468 Å, I = 19
- 1.417 Å, I = 18
- 1.385 Å, I = 33
- 1.342 Å, I = 17

Cell and atoms:
```
Tb2ErRu2
1.0
1.697 -10.227 0.000
1.697 10.227 0.000
0.000 0.000 3.375
Tb Er Ru
2 1 2
direct
0.164 0.836 0.000
0.836 0.164 0.000
0.000 0.000 0.000
0.414 0.586 0.500
0.586 0.414 0.500
```

Please write out number 1 again, unchanged.
Calculated PXRD pattern
Compound: Tb3ErRu
Radiation: Cu Ka
Structure: a structure optimized by DFT (PBE)

Largest 10 diffraction maxima, by angle, 10° ≤ 2θ ≤ 90°:
- 2.899 Å, I = 79
- 2.860 Å, I = 23
- 2.752 Å, I = 100
- 2.733 Å, I = 30
- 2.649 Å, I = 36
- 2.639 Å, I = 63
- 2.587 Å, I = 25
- 1.922 Å, I = 32
- 1.575 Å, I = 23
- 1.556 Å, I = 35

Cell and atoms:
```
Tb3ErRu
1.0
5.960 -1.922 0.000
5.960 1.922 0.000
-5.391 0.000 12.110
Tb Er Ru
6 2 2
direct
0.000 0.000 0.000
0.018 0.018 0.374
0.335 0.335 0.762
0.359 0.359 0.132
0.689 0.689 0.238
0.795 0.795 0.518
0.554 0.554 0.619
0.668 0.668 0.895
0.357 0.357 0.392
0.999 0.999 0.751
```